# 1
ZrS2O6: theoretical X-ray diffraction stick pattern (a wavelength of 1.5418 Å), based on a crystal structure in the Materials Project, relaxed with PBE.
Intensities are scaled so that the largest is 100.

Top 12 peaks for 10° ≤ 2θ ≤ 80°, sorted by position:
Position (°2θ)	Rel. int.
10.19	93
15.41	100
18.03	43
18.67	15
20.04	43
20.76	18
22.39	29
25.84	11
31.11	25
37.53	14
40.72	9
45.70	11

Crystal structure
```
data_ZrS2O6
_space_group_name_H-M_alt 'P 1'
_space_group_IT_number 1
_cell_length_a 19.9540
_cell_length_b 17.7132
_cell_length_c 10.4478
_cell_angle_alpha 86.17
_cell_angle_beta 62.34
_cell_angle_gamma 31.49
loop_
_space_group_symop_operation_xyz
'x,y,z'
loop_
_atom_site_label
_atom_site_type_symbol
_atom_site_fract_x
_atom_site_fract_y
_atom_site_fract_z
_atom_site_occupancy
Zr1 Zr 0.0000 0.0000 0.0000 1
Zr2 Zr 0.0000 0.0000 0.5000 1
Zr3 Zr 0.0000 0.5000 0.0000 1
Zr4 Zr 0.5000 0.0000 0.0000 1
S1 S 0.2660 0.6291 0.2771 1
S2 S 0.2771 0.3279 0.2660 1
S3 S 0.3279 0.2771 0.6291 1
S4 S 0.3709 0.7340 0.6721 1
S5 S 0.6291 0.2660 0.3279 1
S6 S 0.6721 0.7229 0.3709 1
S7 S 0.7229 0.6721 0.7340 1
S8 S 0.7340 0.3709 0.7229 1
O1 O 0.0796 0.8395 0.3268 1
O2 O 0.1272 0.4166 0.7272 1
O3 O 0.1605 0.9204 0.7459 1
O4 O 0.1977 0.6202 0.3858 1
O5 O 0.2290 0.7272 0.4166 1
O6 O 0.2541 0.3268 0.8395 1
O7 O 0.2728 0.7710 0.8728 1
O8 O 0.2963 0.3858 0.6202 1
O9 O 0.3268 0.2541 0.0796 1
O10 O 0.3798 0.8023 0.7037 1
O11 O 0.3858 0.2963 0.1977 1
O12 O 0.4166 0.1272 0.2290 1
O13 O 0.5834 0.8728 0.7710 1
O14 O 0.6142 0.7037 0.8023 1
O15 O 0.6202 0.1977 0.2963 1
O16 O 0.6732 0.7459 0.9204 1
O17 O 0.7037 0.6142 0.3798 1
O18 O 0.7272 0.2290 0.1272 1
O19 O 0.7459 0.6732 0.1605 1
O20 O 0.7710 0.2728 0.5834 1
O21 O 0.8023 0.3798 0.6142 1
O22 O 0.8395 0.0796 0.2541 1
O23 O 0.8728 0.5834 0.2728 1
O24 O 0.9204 0.1605 0.6732 1
```

---

# 2
U2O5: theoretical X-ray diffraction stick pattern (a wavelength of 1.5418 Å), based on a crystal structure in the Materials Project, relaxed with PBE.
Intensities are scaled so that the largest is 100.

Top 12 peaks for 10° ≤ 2θ ≤ 80°, sorted by position:
Position (°2θ)	Rel. int.
21.37	93
25.59	55
26.35	100
33.57	40
34.17	76
43.52	19
45.57	25
50.86	28
51.17	17
51.59	33
58.95	15
64.84	17

Crystal structure
```
data_U2O5
_space_group_name_H-M_alt 'P 1'
_space_group_IT_number 1
_cell_length_a 6.9632
_cell_length_b 30.9607
_cell_length_c 4.1588
_cell_angle_alpha 90.00
_cell_angle_beta 90.00
_cell_angle_gamma 90.00
loop_
_space_group_symop_operation_xyz
'x,y,z'
loop_
_atom_site_label
_atom_site_type_symbol
_atom_site_fract_x
_atom_site_fract_y
_atom_site_fract_z
_atom_site_occupancy
U1 U 0.2155 0.2125 0.0000 1
U2 U 0.2172 0.5943 0.0000 1
U3 U 0.2424 0.9752 0.0000 1
U4 U 0.2436 0.8406 0.0000 1
U5 U 0.2564 0.3406 0.0000 1
U6 U 0.2576 0.4752 0.0000 1
U7 U 0.2828 0.0943 0.0000 1
U8 U 0.2845 0.7125 0.0000 1
U9 U 0.7155 0.2875 0.0000 1
U10 U 0.7172 0.9057 0.0000 1
U11 U 0.7424 0.5248 0.0000 1
U12 U 0.7436 0.6594 0.0000 1
U13 U 0.7564 0.1594 0.0000 1
U14 U 0.7576 0.0248 0.0000 1
U15 U 0.7828 0.4057 0.0000 1
U16 U 0.7845 0.7875 0.0000 1
O1 O 0.0567 0.6654 0.0000 1
O2 O 0.0655 0.0414 0.0000 1
O3 O 0.0660 0.5364 0.0000 1
O4 O 0.0689 0.1483 0.0000 1
O5 O 0.1126 0.7721 0.0000 1
O6 O 0.1999 0.4058 0.0000 1
O7 O 0.2146 0.2137 0.5000 1
O8 O 0.2208 0.5957 0.5000 1
O9 O 0.2438 0.9760 0.5000 1
O10 O 0.2459 0.8368 0.5000 1
O11 O 0.2541 0.3368 0.5000 1
O12 O 0.2562 0.4760 0.5000 1
O13 O 0.2792 0.0957 0.5000 1
O14 O 0.2854 0.7137 0.5000 1
O15 O 0.3001 0.9058 0.0000 1
O16 O 0.3874 0.2721 0.0000 1
O17 O 0.4311 0.6483 0.0000 1
O18 O 0.4340 0.0364 0.0000 1
O19 O 0.4345 0.5414 0.0000 1
O20 O 0.4433 0.1654 0.0000 1
O21 O 0.5567 0.8346 0.0000 1
O22 O 0.5655 0.4586 0.0000 1
O23 O 0.5660 0.9636 0.0000 1
O24 O 0.5689 0.3517 0.0000 1
O25 O 0.6126 0.7279 0.0000 1
O26 O 0.6999 0.0942 0.0000 1
O27 O 0.7146 0.2863 0.5000 1
O28 O 0.7208 0.9043 0.5000 1
O29 O 0.7438 0.5240 0.5000 1
O30 O 0.7459 0.6632 0.5000 1
O31 O 0.7541 0.1632 0.5000 1
O32 O 0.7562 0.0240 0.5000 1
O33 O 0.7792 0.4043 0.5000 1
O34 O 0.7854 0.7863 0.5000 1
O35 O 0.8001 0.5942 0.0000 1
O36 O 0.8874 0.2279 0.0000 1
O37 O 0.9311 0.8517 0.0000 1
O38 O 0.9340 0.4636 0.0000 1
O39 O 0.9345 0.9586 0.0000 1
O40 O 0.9433 0.3346 0.0000 1
```

---

# 3
CoCN2: theoretical X-ray diffraction stick pattern (a wavelength of 1.5418 Å), based on a crystal structure in the Materials Project, relaxed with PBE.
Intensities are scaled so that the largest is 100.

Top 12 peaks for 10° ≤ 2θ ≤ 80°, sorted by position:
Position (°2θ)	Rel. int.
18.56	65
33.26	31
34.59	20
37.64	8
38.35	100
51.09	45
59.42	24
62.83	14
68.41	17
69.82	4
72.51	7
72.97	13

Crystal structure
```
data_CoCN2
_space_group_name_H-M_alt 'P 1'
_space_group_IT_number 1
_cell_length_a 3.1108
_cell_length_b 3.1108
_cell_length_c 9.5601
_cell_angle_alpha 90.00
_cell_angle_beta 90.00
_cell_angle_gamma 120.00
loop_
_space_group_symop_operation_xyz
'x,y,z'
loop_
_atom_site_label
_atom_site_type_symbol
_atom_site_fract_x
_atom_site_fract_y
_atom_site_fract_z
_atom_site_occupancy
Co1 Co 0.0000 0.0000 0.0000 1
Co2 Co 0.0000 0.0000 0.5000 1
C1 C 0.3333 0.6667 0.2500 1
C2 C 0.6667 0.3333 0.7500 1
N1 N 0.3333 0.6667 0.1207 1
N2 N 0.3333 0.6667 0.3793 1
N3 N 0.6667 0.3333 0.6207 1
N4 N 0.6667 0.3333 0.8793 1
```

---

# 4
CuSnP2O8: theoretical X-ray diffraction stick pattern (a wavelength of 1.5418 Å), based on a crystal structure in the Materials Project, relaxed with PBE.
Intensities are scaled so that the largest is 100.

Top 12 peaks for 10° ≤ 2θ ≤ 80°, sorted by position:
Position (°2θ)	Rel. int.
17.65	100
19.71	51
20.24	30
24.58	61
24.81	35
25.01	74
29.31	86
35.07	40
36.01	48
38.77	24
47.30	34
57.02	26

Crystal structure
```
data_CuSnP2O8
_space_group_name_H-M_alt 'P 1'
_space_group_IT_number 1
_cell_length_a 4.9573
_cell_length_b 6.0951
_cell_length_c 10.0558
_cell_angle_alpha 90.00
_cell_angle_beta 91.91
_cell_angle_gamma 90.00
loop_
_space_group_symop_operation_xyz
'x,y,z'
loop_
_atom_site_label
_atom_site_type_symbol
_atom_site_fract_x
_atom_site_fract_y
_atom_site_fract_z
_atom_site_occupancy
Cu1 Cu 0.1033 0.2500 0.2072 1
Cu2 Cu 0.8967 0.7500 0.7928 1
Sn1 Sn 0.4618 0.2500 0.7180 1
Sn2 Sn 0.5382 0.7500 0.2820 1
P1 P 0.0830 0.7500 0.0953 1
P2 P 0.4106 0.7500 0.6018 1
P3 P 0.5894 0.2500 0.3982 1
P4 P 0.9170 0.2500 0.9047 1
O1 O 0.1339 0.7500 0.9476 1
O2 O 0.2213 0.2500 0.8797 1
O3 O 0.2392 0.5567 0.1713 1
O4 O 0.2392 0.9433 0.1713 1
O5 O 0.2756 0.5458 0.6685 1
O6 O 0.2756 0.9542 0.6685 1
O7 O 0.2826 0.2500 0.3797 1
O8 O 0.3255 0.7500 0.4512 1
O9 O 0.6745 0.2500 0.5488 1
O10 O 0.7174 0.7500 0.6203 1
O11 O 0.7244 0.0458 0.3315 1
O12 O 0.7244 0.4542 0.3315 1
O13 O 0.7608 0.0567 0.8287 1
O14 O 0.7608 0.4433 0.8287 1
O15 O 0.7787 0.7500 0.1203 1
O16 O 0.8661 0.2500 0.0524 1
```

---

# 5
TiFeCoSi: theoretical X-ray diffraction stick pattern (a wavelength of 1.5418 Å), based on a crystal structure in the Materials Project, relaxed with PBE.
Intensities are scaled so that the largest is 100.

Top 7 peaks for 10° ≤ 2θ ≤ 80°, sorted by position:
Position (°2θ)	Rel. int.
26.98	3
31.25	7
44.78	100
53.06	1
55.62	2
65.19	15
74.07	2

Crystal structure
```
data_TiFeCoSi
_space_group_name_H-M_alt 'P 1'
_space_group_IT_number 1
_cell_length_a 5.7244
_cell_length_b 5.7244
_cell_length_c 5.7244
_cell_angle_alpha 90.00
_cell_angle_beta 90.00
_cell_angle_gamma 90.00
loop_
_space_group_symop_operation_xyz
'x,y,z'
loop_
_atom_site_label
_atom_site_type_symbol
_atom_site_fract_x
_atom_site_fract_y
_atom_site_fract_z
_atom_site_occupancy
Ti1 Ti 0.0000 0.0000 0.0000 1
Ti2 Ti 0.0000 0.5000 0.5000 1
Ti3 Ti 0.5000 0.0000 0.5000 1
Ti4 Ti 0.5000 0.5000 0.0000 1
Fe1 Fe 0.2500 0.2500 0.2500 1
Fe2 Fe 0.2500 0.7500 0.7500 1
Fe3 Fe 0.7500 0.2500 0.7500 1
Fe4 Fe 0.7500 0.7500 0.2500 1
Co1 Co 0.2500 0.2500 0.7500 1
Co2 Co 0.2500 0.7500 0.2500 1
Co3 Co 0.7500 0.2500 0.2500 1
Co4 Co 0.7500 0.7500 0.7500 1
Si1 Si 0.0000 0.0000 0.5000 1
Si2 Si 0.0000 0.5000 0.0000 1
Si3 Si 0.5000 0.0000 0.0000 1
Si4 Si 0.5000 0.5000 0.5000 1
```

---

# 6
ZnMo2Se4: theoretical X-ray diffraction stick pattern (a wavelength of 1.5418 Å), based on a crystal structure in the Materials Project, relaxed with PBE.
Intensities are scaled so that the largest is 100.

Top 12 peaks for 10° ≤ 2θ ≤ 80°, sorted by position:
Position (°2θ)	Rel. int.
14.87	15
31.17	52
32.78	18
34.70	39
37.24	24
40.30	100
43.80	25
47.67	15
51.86	10
55.46	37
56.49	12
70.77	21

Crystal structure
```
data_ZnMo2Se4
_space_group_name_H-M_alt 'P 1'
_space_group_IT_number 1
_cell_length_a 3.3134
_cell_length_b 3.3134
_cell_length_c 17.8754
_cell_angle_alpha 90.00
_cell_angle_beta 90.00
_cell_angle_gamma 120.00
loop_
_space_group_symop_operation_xyz
'x,y,z'
loop_
_atom_site_label
_atom_site_type_symbol
_atom_site_fract_x
_atom_site_fract_y
_atom_site_fract_z
_atom_site_occupancy
Zn1 Zn 0.0000 0.0000 0.0000 1
Mo1 Mo 0.0000 0.0000 0.2533 1
Mo2 Mo 0.6667 0.3333 0.7193 1
Se1 Se 0.0000 0.0000 0.6254 1
Se2 Se 0.0000 0.0000 0.8133 1
Se3 Se 0.6667 0.3333 0.1590 1
Se4 Se 0.6667 0.3333 0.3470 1
```